Starting from a structure optimized by DFT (GGA+U), the powder diffraction line list of Sr2Mn3B2O10 was calculated for Cu Kα, 1.54184 Å.
No peak broadening, texture or thermal motion is included.

Peak list (12 most intense, 2θ from 10° to 90°, low angle first)
- 2θ 17.8, I = 27
- 2θ 23.3, I = 19
- 2θ 25.3, I = 23
- 2θ 29.0, I = 13
- 2θ 31.7, I = 100
- 2θ 32.5, I = 17
- 2θ 34.6, I = 13
- 2θ 35.5, I = 18
- 2θ 41.1, I = 13
- 2θ 45.8, I = 17
- 2θ 54.2, I = 14
- 2θ 54.4, I = 17

```
data_Sr2Mn3B2O10
_cell_length_a 5.790
_cell_length_b 3.372
_cell_length_c 10.588
_cell_angle_alpha 90.00
_cell_angle_beta 92.75
_cell_angle_gamma 90.00
_symmetry_space_group_name_H-M 'P 1'
_symmetry_Int_Tables_number 1
loop_
_symmetry_equiv_pos_as_xyz
'x,y,z'
loop_
_atom_site_label
_atom_site_type_symbol
_atom_site_fract_x
_atom_site_fract_y
_atom_site_fract_z
Sr1 Sr 0.000 0.000 0.000
Sr2 Sr 0.153 0.500 0.681
Mn1 Mn 0.313 0.000 0.381
Mn2 Mn 0.585 0.500 0.179
Mn3 Mn 0.655 0.000 0.667
B1 B 0.487 0.500 0.903
B2 B 0.817 0.500 0.432
O1 O 0.036 0.500 0.384
O2 O 0.260 0.500 0.930
O3 O 0.349 0.000 0.196
O4 O 0.366 0.000 0.556
O5 O 0.544 0.500 0.776
O6 O 0.593 0.500 0.362
O7 O 0.659 0.500 0.999
O8 O 0.771 0.000 0.191
O9 O 0.785 0.500 0.560
O10 O 0.918 0.000 0.768
```